The following is a simulated powder diffractogram of Ac2SiAu. It was derived from a cell relaxed with GGA-PBE, using a wavelength of 1.5418 Å.
Lines closer than 0.1° are merged.

Structural model:
Lattice parameters (Å, degrees): 5.5047 5.5047 5.5047 60.00 60.00 60.00
Positions (direct):
Ac1 0.2500 0.2500 0.2500
Ac2 0.7500 0.7500 0.7500
Si1 0.0000 0.0000 0.0000
Au1 0.5000 0.5000 0.5000

Largest 10 diffraction maxima, in order of rising 2θ, 10 to 80 degrees two-theta:
19.75 deg, d 4.495, rel. 13.9
22.85 deg, d 3.892, rel. 12.1
32.53 deg, d 2.752, rel. 100.0
38.35 deg, d 2.347, rel. 8.4
40.13 deg, d 2.247, rel. 3.9
46.67 deg, d 1.946, rel. 18.7
52.57 deg, d 1.741, rel. 5.6
58.04 deg, d 1.589, rel. 39.5
68.14 deg, d 1.376, rel. 12.3
77.56 deg, d 1.231, rel. 17.3